Starting from a PBE-relaxed structure, the X-ray powder pattern of Na3Er3InSe8 was computed for copper Kα.

Principal peaks in the range 10 to 80 degrees two-theta, low angle first:
2θ/deg, intensity
12.4, 64
25.7, 23
30.5, 100
42.5, 38
44.8, 35
55.1, 18

Structural model:
Unit cell a=8.0964 b=8.0964 c=8.5405 alpha=118.30 beta=118.30 gamma=60.01
Fractional coordinates of all 15 atoms:
Na 0.0000 0.0000 0.0000
Na 0.0000 0.5000 0.0000
Na 0.5000 0.0000 0.0000
Er 0.0000 0.5000 0.5000
Er 0.5000 0.0000 0.5000
Er 0.5000 0.5000 0.5000
In 0.0000 0.0000 0.5000
Se 0.2401 0.2401 0.7253
Se 0.2414 0.7445 0.7255
Se 0.2555 0.7586 0.2745
Se 0.2570 0.2570 0.2725
Se 0.7430 0.7430 0.7275
Se 0.7445 0.2414 0.7255
Se 0.7586 0.2555 0.2745
Se 0.7599 0.7599 0.2747

***

Starting from a PBE-relaxed structure, the X-ray powder pattern of Cs12Rb7Sr was computed for copper Kα.

Principal peaks in the range 10 to 80 degrees two-theta, low angle first:
2θ/deg, intensity
20.6, 100
20.8, 40
21.7, 53
22.0, 63
23.3, 31
35.8, 28

Structural model:
Unit cell a=12.8427 b=12.8427 c=12.8427 alpha=91.24 beta=91.24 gamma=91.24
Fractional coordinates of all 20 atoms:
Cs 0.0113 0.3449 0.8934
Cs 0.1066 0.9887 0.6551
Cs 0.2470 0.6201 0.7521
Cs 0.2479 0.7530 0.3799
Cs 0.3449 0.8934 0.0113
Cs 0.3799 0.2479 0.7530
Cs 0.6201 0.7521 0.2470
Cs 0.6551 0.1066 0.9887
Cs 0.7521 0.2470 0.6201
Cs 0.7530 0.3799 0.2479
Cs 0.8934 0.0113 0.3449
Cs 0.9887 0.6551 0.1066
Rb 0.0000 0.0000 0.0000
Rb 0.1306 0.3600 0.4380
Rb 0.3600 0.4380 0.1306
Rb 0.4380 0.1306 0.3600
Rb 0.5620 0.8694 0.6400
Rb 0.6400 0.5620 0.8694
Rb 0.8694 0.6400 0.5620
Sr 0.5000 0.5000 0.5000